Starting from the PBE geometry in Alexandria, the X-ray diffraction stick pattern of Hf4Zr3Sc3 was calculated for Cu Kα (weighted mean of Kα1 and Kα2).
Lines closer than 0.1° are merged.

Atomic structure:
Lattice parameters (Å, degrees): 3.602 8.105 8.105 89.44 90.00 90.00
Positions (direct):
Hf1 0.000 0.000 0.000
Hf2 0.000 0.259 0.259
Hf3 0.000 0.495 0.757
Hf4 0.000 0.757 0.495
Zr1 0.500 0.293 0.964
Zr2 0.500 0.464 0.464
Zr3 0.500 0.964 0.293
Sc1 0.000 0.129 0.627
Sc2 0.000 0.627 0.129
Sc3 0.500 0.794 0.794

The 6 most intense peaks (2θ from 10° to 80°), by intensity:
35.07°, intensity 100; 35.19°, intensity 79; 15.38°, intensity 32; 24.69°, intensity 28; 34.90°, intensity 27; 44.73°, intensity 21

Starting from the PBE geometry in Alexandria, the X-ray diffraction stick pattern of Hf2ZrSc12 was calculated for Cu Kα (weighted mean of Kα1 and Kα2).
Lines closer than 0.1° are merged.

Atomic structure:
Lattice parameters (Å, degrees): 6.036 6.036 22.358 90.00 90.00 116.43
Positions (direct):
Hf1 0.250 0.750 0.236
Hf2 0.250 0.750 0.768
Hf3 0.750 0.250 0.232
Hf4 0.750 0.250 0.764
Zr1 0.250 0.750 0.500
Zr2 0.750 0.250 0.500
Sc1 0.000 0.500 0.372
Sc2 0.000 0.500 0.628
Sc3 0.001 0.999 0.426
Sc4 0.012 0.512 0.101
Sc5 0.022 0.978 0.939
Sc6 0.250 0.250 0.177
Sc7 0.250 0.250 0.299
Sc8 0.250 0.250 0.701
Sc9 0.250 0.250 0.823
Sc10 0.478 0.522 0.939
Sc11 0.488 0.988 0.101
Sc12 0.499 0.501 0.426
Sc13 0.500 0.000 0.372
Sc14 0.500 0.000 0.628
Sc15 0.501 0.499 0.574
Sc16 0.512 0.012 0.899
Sc17 0.522 0.478 0.061
Sc18 0.750 0.750 0.177
Sc19 0.750 0.750 0.299
Sc20 0.750 0.750 0.701
Sc21 0.750 0.750 0.823
Sc22 0.978 0.022 0.061
Sc23 0.988 0.488 0.899
Sc24 0.999 0.001 0.574

The 6 most intense peaks (2θ from 10° to 80°), by intensity:
36.94°, intensity 100; 34.13°, intensity 91; 36.61°, intensity 82; 34.97°, intensity 74; 32.40°, intensity 59; 33.03°, intensity 47